[1]
Starting from a structure optimized by DFT (GGA+U), the XRD peak list of BaTm2Mo4O16 was computed for λ = 1.5418 Å (Cu Kα).

Most intense lines, 10° ≤ 2θ ≤ 80°, by angle:
2theta	I (rel.)
25.30	73
26.29	77
27.45	51
27.68	54
28.45	68
28.65	90
28.90	65
29.73	100
30.64	51
34.27	54

Structural model:
Cell lengths 6.8374, 6.8374, 19.7561 Å; angles 90.89, 90.89, 134.96 degrees
Positions (direct):
Ba  0.0300  0.9700  0.7500
Ba  0.9700  0.0300  0.2500
Tm  0.1446  0.8480  0.5307
Tm  0.1520  0.8554  0.9693
Tm  0.8480  0.1446  0.0307
Tm  0.8554  0.1520  0.4693
Mo  0.2574  0.7397  0.1448
Mo  0.2603  0.7426  0.3552
Mo  0.4253  0.5450  0.9102
Mo  0.4550  0.5747  0.5898
Mo  0.5450  0.4253  0.4102
Mo  0.5747  0.4550  0.0898
Mo  0.7397  0.2574  0.6448
Mo  0.7426  0.2603  0.8552
O  0.0056  0.7321  0.1711
O  0.0598  0.5821  0.4346
O  0.0808  0.3815  0.1293
O  0.1014  0.4889  0.2903
O  0.1629  0.5049  0.9579
O  0.2191  0.3194  0.3995
O  0.2198  0.2564  0.5344
O  0.2564  0.2198  0.0344
O  0.2679  0.9944  0.3289
O  0.2982  0.4617  0.6679
O  0.3194  0.2191  0.8995
O  0.3815  0.0808  0.6293
O  0.4179  0.9402  0.0654
O  0.4617  0.2982  0.1679
O  0.4889  0.1014  0.7903
O  0.4951  0.8371  0.5421
O  0.5049  0.1629  0.4579
O  0.5111  0.8986  0.2097
O  0.5383  0.7018  0.8321
O  0.5821  0.0598  0.9346
O  0.6185  0.9192  0.3707
O  0.6806  0.7809  0.1005
O  0.7018  0.5383  0.3321
O  0.7321  0.0056  0.6711
O  0.7436  0.7802  0.9656
O  0.7802  0.7436  0.4656
O  0.7809  0.6806  0.6005
O  0.8371  0.4951  0.0421
O  0.8986  0.5111  0.7097
O  0.9192  0.6185  0.8707
O  0.9402  0.4179  0.5654
O  0.9944  0.2679  0.8289

[2]
Starting from a structure optimized by DFT (GGA+U), the XRD peak list of Li4Mn3OF8 was computed for λ = 1.5418 Å (Cu Kα).

Most intense lines, 10° ≤ 2θ ≤ 80°, by angle:
2theta	I (rel.)
15.54	57
21.41	100
32.90	37
39.70	20
39.95	36
41.93	56
43.07	29
43.39	26
44.61	31
56.44	28

Structural model:
Cell lengths 5.1726, 5.1726, 11.6680 Å; angles 101.63, 101.63, 33.65 degrees
Positions (direct):
Li  0.0000  0.0000  0.0000
Li  0.0931  0.0931  0.3182
Li  0.7212  0.7212  0.8955
Li  0.8616  0.8616  0.4414
Mn  0.3045  0.3045  0.1566
Mn  0.4323  0.4323  0.7264
Mn  0.6138  0.6138  0.5638
O  0.9863  0.9863  0.6084
F  0.0579  0.0579  0.8499
F  0.2302  0.2302  0.4840
F  0.3608  0.3608  0.9565
F  0.4874  0.4874  0.3807
F  0.6696  0.6696  0.0517
F  0.7375  0.7375  0.2786
F  0.7682  0.7682  0.7338
F  0.9624  0.9624  0.1639